No. 1
For La12Pr6Mg, a crystal structure in Alexandria, relaxed with GGA-PBE gives the calculated powder X-ray diffraction pattern in this record (λ = 1.5418 Å (Cu Kα)).
Intensities are scaled so that the largest is 100.

The 12 most intense peaks (15 to 90 degrees two-theta), low angle first:
Position (°2θ)	I_rel
24.13	23
28.45	31
30.48	53
30.62	93
30.97	100
33.24	24
33.69	21
47.85	26
53.60	14
54.95	25
56.16	16
59.26	15

Cell and atoms:
```
La12Pr6Mg
1.0
6.839 3.949 4.338
-6.839 3.949 4.338
0.000 -7.897 4.338
La Pr Mg
12 6 1
direct
0.000 0.261 0.739 La
0.000 0.739 0.261 La
0.168 0.582 0.582 La
0.261 0.000 0.739 La
0.261 0.739 0.000 La
0.418 0.418 0.832 La
0.418 0.832 0.418 La
0.582 0.168 0.582 La
0.582 0.582 0.168 La
0.739 0.000 0.261 La
0.739 0.261 0.000 La
0.832 0.418 0.418 La
0.138 0.138 0.408 Pr
0.138 0.408 0.138 Pr
0.408 0.138 0.138 Pr
0.592 0.862 0.862 Pr
0.862 0.592 0.862 Pr
0.862 0.862 0.592 Pr
0.000 0.000 0.000 Mg
```

***

No. 2
For AcPmDyHo2, a crystal structure in Alexandria, relaxed with GGA-PBE gives the calculated powder X-ray diffraction pattern in this record (λ = 1.5418 Å (Cu Kα)).
Intensities are scaled so that the largest is 100.

The 12 most intense peaks (15 to 90 degrees two-theta), low angle first:
Position (°2θ)	I_rel
24.72	21
29.44	100
30.59	15
32.16	54
34.46	30
39.40	43
51.74	29
56.95	15
58.27	19
60.01	23
65.40	21
87.40	17

Cell and atoms:
```
AcPmDyHo2
1.0
3.234 -8.769 0.000
3.234 8.769 0.000
0.000 0.000 6.469
Ac Pm Dy Ho
2 2 2 4
direct
0.159 0.841 0.750 Ac
0.841 0.159 0.250 Ac
0.348 0.652 0.750 Pm
0.652 0.348 0.250 Pm
0.249 0.751 0.250 Dy
0.751 0.249 0.750 Dy
0.251 0.251 0.000 Ho
0.251 0.251 0.500 Ho
0.749 0.749 0.000 Ho
0.749 0.749 0.500 Ho
```

***

No. 3
For Ca2Mg6Zn3, a crystal structure in Alexandria, relaxed with GGA-PBE gives the calculated powder X-ray diffraction pattern in this record (λ = 1.5418 Å (Cu Kα)).
Intensities are scaled so that the largest is 100.

The 12 most intense peaks (15 to 90 degrees two-theta), low angle first:
Position (°2θ)	I_rel
19.58	16
21.45	50
29.20	100
31.81	38
33.03	25
37.61	37
38.69	75
39.77	32
45.60	42
50.06	17
55.88	23
62.06	21

Cell and atoms:
```
Ca2Mg6Zn3
1.0
8.285 0.000 0.000
-4.143 7.175 0.000
0.000 0.000 4.533
Ca Mg Zn
2 6 3
direct
0.333 0.667 0.000 Ca
0.667 0.333 0.000 Ca
0.000 0.212 0.000 Mg
0.000 0.719 0.500 Mg
0.212 0.000 0.000 Mg
0.281 0.281 0.500 Mg
0.719 0.000 0.500 Mg
0.788 0.788 0.000 Mg
0.000 0.395 0.500 Zn
0.395 0.000 0.500 Zn
0.605 0.605 0.500 Zn
```

***

No. 4
For Rb3Ag4F12, a crystal structure in Alexandria, relaxed with GGA-PBE gives the calculated powder X-ray diffraction pattern in this record (λ = 1.5418 Å (Cu Kα)).
Intensities are scaled so that the largest is 100.

The 12 most intense peaks (15 to 90 degrees two-theta), low angle first:
Position (°2θ)	I_rel
20.34	23
24.98	5
28.92	100
38.57	4
41.36	41
46.51	9
51.25	40
59.92	25
67.88	17
75.41	8
82.69	21
89.86	4

Cell and atoms:
```
Rb3Ag4F12
1.0
-4.366 4.366 4.366
4.366 -4.366 4.366
4.366 4.366 -4.366
Rb Ag F
3 4 12
direct
0.000 0.500 0.500 Rb
0.500 0.000 0.500 Rb
0.500 0.500 0.000 Rb
0.000 0.000 0.500 Ag
0.000 0.500 0.000 Ag
0.500 0.000 0.000 Ag
0.500 0.500 0.500 Ag
0.000 0.258 0.742 F
0.000 0.742 0.258 F
0.258 0.000 0.742 F
0.258 0.258 0.515 F
0.258 0.515 0.258 F
0.258 0.742 0.000 F
0.485 0.742 0.742 F
0.515 0.258 0.258 F
0.742 0.000 0.258 F
0.742 0.258 0.000 F
0.742 0.485 0.742 F
0.742 0.742 0.485 F
```

***

No. 5
For Ag2HSe, a crystal structure in Alexandria, relaxed with GGA-PBE gives the calculated powder X-ray diffraction pattern in this record (λ = 1.5418 Å (Cu Kα)).
Intensities are scaled so that the largest is 100.

The 12 most intense peaks (15 to 90 degrees two-theta), low angle first:
Position (°2θ)	I_rel
24.22	99
25.41	35
28.01	76
34.88	40
39.01	53
39.33	47
40.19	100
41.32	55
42.31	91
44.13	27
47.41	45
64.67	27

Cell and atoms:
```
Ag2HSe
1.0
5.727 0.000 0.000
0.000 3.835 0.000
-5.167 0.000 12.861
Ag H Se
8 4 4
direct
0.125 0.249 0.169 Ag
0.125 0.751 0.669 Ag
0.253 0.251 0.540 Ag
0.253 0.749 0.040 Ag
0.747 0.251 0.960 Ag
0.747 0.749 0.460 Ag
0.875 0.249 0.331 Ag
0.875 0.751 0.831 Ag
0.123 0.251 0.643 H
0.123 0.749 0.143 H
0.877 0.251 0.857 H
0.877 0.749 0.357 H
0.387 0.249 0.373 Se
0.387 0.751 0.873 Se
0.613 0.249 0.127 Se
0.613 0.751 0.627 Se
```

***

No. 6
For SrCd4Pt, a crystal structure in Alexandria, relaxed with GGA-PBE gives the calculated powder X-ray diffraction pattern in this record (λ = 1.5418 Å (Cu Kα)).
Intensities are scaled so that the largest is 100.

The 12 most intense peaks (15 to 90 degrees two-theta), low angle first:
Position (°2θ)	I_rel
15.26	58
28.75	23
31.10	69
32.92	64
36.76	28
37.35	100
38.54	54
40.29	28
40.83	20
41.92	45
61.08	18
73.55	25

Cell and atoms:
```
SrCd4Pt
1.0
8.954 0.000 0.000
0.000 4.310 0.000
0.000 0.000 7.624
Sr Cd Pt
2 8 2
direct
0.250 0.000 0.099 Sr
0.750 0.000 0.901 Sr
0.000 0.000 0.500 Cd
0.056 0.500 0.807 Cd
0.250 0.500 0.447 Cd
0.444 0.500 0.807 Cd
0.500 0.000 0.500 Cd
0.556 0.500 0.193 Cd
0.750 0.500 0.553 Cd
0.944 0.500 0.193 Cd
0.250 0.000 0.702 Pt
0.750 0.000 0.298 Pt
```

***

No. 7
For In2Ga3Au8, a crystal structure in Alexandria, relaxed with GGA-PBE gives the calculated powder X-ray diffraction pattern in this record (λ = 1.5418 Å (Cu Kα)).
Intensities are scaled so that the largest is 100.

The 12 most intense peaks (15 to 90 degrees two-theta), low angle first:
Position (°2θ)	I_rel
23.14	27
30.34	33
38.51	100
43.31	18
43.58	20
47.30	12
49.67	9
49.91	7
57.24	7
63.13	12
66.26	9
76.62	14

Cell and atoms:
```
In2Ga3Au8
1.0
8.356 0.000 0.000
0.000 4.154 0.000
-4.165 0.000 7.687
In Ga Au
2 3 8
direct
0.242 0.000 0.486 In
0.758 0.000 0.514 In
0.000 0.000 0.000 Ga
0.298 0.500 0.000 Ga
0.702 0.500 0.000 Ga
0.114 0.500 0.227 Au
0.147 0.000 0.775 Au
0.367 0.500 0.732 Au
0.371 0.000 0.226 Au
0.629 0.000 0.774 Au
0.633 0.500 0.268 Au
0.853 0.000 0.225 Au
0.886 0.500 0.773 Au
```

***

No. 8
For ErZr2N4, a crystal structure in Alexandria, relaxed with GGA-PBE gives the calculated powder X-ray diffraction pattern in this record (λ = 1.5418 Å (Cu Kα)).
Intensities are scaled so that the largest is 100.

The 12 most intense peaks (15 to 90 degrees two-theta), low angle first:
Position (°2θ)	I_rel
17.74	25
18.18	32
28.90	48
29.74	44
31.33	100
32.36	47
36.51	54
45.55	31
46.32	25
49.03	26
55.10	24
57.07	26

Cell and atoms:
```
ErZr2N4
1.0
6.059 -1.667 0.000
6.059 1.667 0.000
-2.376 0.000 5.000
Er Zr N
1 2 4
direct
0.000 0.000 0.000 Er
0.289 0.289 0.293 Zr
0.711 0.711 0.707 Zr
0.140 0.140 0.450 N
0.357 0.357 0.994 N
0.643 0.643 0.006 N
0.860 0.860 0.550 N
```

***

No. 9
For Na2LaSiS4, a crystal structure in Alexandria, relaxed with GGA-PBE gives the calculated powder X-ray diffraction pattern in this record (λ = 1.5418 Å (Cu Kα)).
Intensities are scaled so that the largest is 100.

The 12 most intense peaks (15 to 90 degrees two-theta), low angle first:
Position (°2θ)	I_rel
15.70	25
25.70	39
26.45	18
31.70	50
32.00	100
34.27	19
35.83	17
43.57	17
45.66	64
48.10	16
54.88	15
58.76	15

Cell and atoms:
```
Na2LaSiS4
1.0
-3.783 4.154 5.644
3.783 -4.154 5.644
3.783 4.154 -5.644
Na La Si S
4 2 2 8
direct
0.000 0.000 0.000 Na
0.500 0.000 0.000 Na
0.500 0.000 0.500 Na
0.500 0.500 0.500 Na
0.000 0.500 0.500 La
0.500 0.500 0.000 La
0.000 0.000 0.500 Si
0.000 0.500 0.000 Si
0.204 0.249 0.955 S
0.207 0.751 0.455 S
0.223 0.221 0.498 S
0.223 0.725 0.002 S
0.777 0.275 0.998 S
0.777 0.779 0.502 S
0.793 0.249 0.545 S
0.796 0.751 0.045 S
```

***

No. 10
For Ac3TiO6, a crystal structure in Alexandria, relaxed with GGA-PBE gives the calculated powder X-ray diffraction pattern in this record (λ = 1.5418 Å (Cu Kα)).
Intensities are scaled so that the largest is 100.

The 12 most intense peaks (15 to 90 degrees two-theta), low angle first:
Position (°2θ)	I_rel
18.89	24
27.69	100
28.05	25
28.17	38
29.44	15
30.06	23
41.58	27
42.58	20
46.47	22
51.94	15
53.85	19
56.34	17

Cell and atoms:
```
Ac3TiO6
1.0
4.945 -6.067 0.000
4.945 6.067 0.000
0.000 0.000 5.946
Ac Ti O
6 2 12
direct
0.106 0.894 0.500 Ac
0.204 0.409 0.463 Ac
0.409 0.204 0.963 Ac
0.591 0.796 0.463 Ac
0.796 0.591 0.963 Ac
0.894 0.106 0.000 Ac
0.313 0.687 0.931 Ti
0.687 0.313 0.431 Ti
0.102 0.614 0.775 O
0.143 0.167 0.729 O
0.167 0.143 0.229 O
0.287 0.713 0.243 O
0.386 0.898 0.775 O
0.457 0.543 0.790 O
0.543 0.457 0.290 O
0.614 0.102 0.275 O
0.713 0.287 0.743 O
0.833 0.857 0.729 O
0.857 0.833 0.229 O
0.898 0.386 0.275 O
```